Cs5NaW4N10: theoretical powder X-ray diffraction pattern (copper Kα), based on a structure optimized by DFT (PBE).
Peak positions follow from Bragg's law for the DFT cell and can differ from measured ones.

Largest 12 diffraction maxima, low angle first, 15 to 90 degrees two-theta:
| two_theta | intensity |
| --- | --- |
| 17.08 | 45 |
| 24.63 | 50 |
| 26.63 | 41 |
| 27.68 | 48 |
| 28.07 | 1000 |
| 40.04 | 104 |
| 49.63 | 224 |
| 49.78 | 80 |
| 57.93 | 48 |
| 58.10 | 54 |
| 65.56 | 83 |
| 79.69 | 37 |

Structure:
Lattice parameters (Å, degrees): 11.022 11.022 11.022 99.50 99.50 132.06
Fractional coordinates of all 40 atoms:
Cs  0.000  0.000  0.000
Cs  0.180  0.461  0.065
Cs  0.211  0.646  0.780
Cs  0.348  0.125  0.583
Cs  0.396  0.115  0.935
Cs  0.515  0.598  0.723
Cs  0.542  0.765  0.417
Cs  0.750  0.250  0.500
Cs  0.865  0.430  0.220
Cs  0.875  0.792  0.277
Na  0.244  0.744  0.500
Na  0.494  0.494  0.000
W  0.019  0.128  0.685
W  0.084  0.269  0.391
W  0.314  0.908  0.194
W  0.444  0.334  0.315
W  0.658  0.964  0.094
W  0.714  0.120  0.806
W  0.870  0.564  0.906
W  0.878  0.694  0.609
N  0.037  0.709  0.568
N  0.059  0.203  0.541
N  0.107  0.758  0.037
N  0.141  0.470  0.432
N  0.220  0.287  0.829
N  0.268  0.309  0.355
N  0.274  0.794  0.304
N  0.380  0.119  0.286
N  0.459  0.391  0.171
N  0.490  0.970  0.696
N  0.508  0.971  0.151
N  0.544  0.740  0.020
N  0.662  0.518  0.459
N  0.720  0.524  0.980
N  0.721  0.070  0.963
N  0.820  0.357  0.849
N  0.833  0.095  0.714
N  0.845  0.630  0.762
N  0.869  0.083  0.238
N  0.953  0.912  0.645

CsOsNO3: theoretical powder X-ray diffraction pattern (copper Kα), based on a structure optimized by DFT (PBE).
Peak positions follow from Bragg's law for the DFT cell and can differ from measured ones.

Largest 12 diffraction maxima, low angle first, 15 to 90 degrees two-theta:
| two_theta | intensity |
| --- | --- |
| 23.83 | 1000 |
| 26.65 | 342 |
| 32.25 | 105 |
| 33.93 | 204 |
| 40.04 | 102 |
| 41.94 | 157 |
| 43.69 | 99 |
| 45.45 | 80 |
| 48.81 | 103 |
| 50.29 | 110 |
| 62.08 | 66 |
| 67.51 | 74 |

Structure:
Lattice parameters (Å, degrees): 8.614 7.465 8.306 90.00 90.00 90.00
Fractional coordinates of all 24 atoms:
Cs  0.131  0.250  0.153
Cs  0.369  0.750  0.653
Cs  0.631  0.250  0.347
Cs  0.869  0.750  0.847
Os  0.120  0.250  0.656
Os  0.380  0.750  0.156
Os  0.620  0.250  0.844
Os  0.880  0.750  0.344
N  0.214  0.750  0.045
N  0.286  0.250  0.545
N  0.714  0.750  0.455
N  0.786  0.250  0.955
O  0.038  0.750  0.478
O  0.121  0.056  0.778
O  0.121  0.444  0.778
O  0.379  0.556  0.278
O  0.379  0.944  0.278
O  0.462  0.250  0.978
O  0.538  0.750  0.022
O  0.621  0.056  0.722
O  0.621  0.444  0.722
O  0.879  0.556  0.222
O  0.879  0.944  0.222
O  0.962  0.250  0.522

CsOsN2: theoretical powder X-ray diffraction pattern (copper Kα), based on a structure optimized by DFT (PBE).
Peak positions follow from Bragg's law for the DFT cell and can differ from measured ones.

Largest 12 diffraction maxima, low angle first, 15 to 90 degrees two-theta:
| two_theta | intensity |
| --- | --- |
| 17.79 | 93 |
| 28.75 | 1000 |
| 30.22 | 440 |
| 38.86 | 94 |
| 43.26 | 140 |
| 50.00 | 217 |
| 52.78 | 370 |
| 59.54 | 147 |
| 64.27 | 108 |
| 80.66 | 110 |
| 84.31 | 99 |
| 86.48 | 94 |

Structure:
Lattice parameters (Å, degrees): 10.438 10.438 10.438 101.37 101.37 127.27
Fractional coordinates of all 40 atoms:
Cs  0.023  0.674  0.950
Cs  0.174  0.724  0.651
Cs  0.224  0.073  0.550
Cs  0.375  0.125  0.250
Cs  0.427  0.477  0.151
Cs  0.573  0.523  0.849
Cs  0.625  0.875  0.750
Cs  0.776  0.927  0.450
Cs  0.826  0.276  0.349
Cs  0.977  0.326  0.050
Os  0.076  0.025  0.850
Os  0.125  0.375  0.750
Os  0.275  0.424  0.450
Os  0.325  0.775  0.350
Os  0.475  0.825  0.050
Os  0.525  0.175  0.950
Os  0.675  0.225  0.650
Os  0.725  0.576  0.550
Os  0.875  0.625  0.250
Os  0.924  0.975  0.150
N  0.000  0.000  0.000
N  0.099  0.199  0.300
N  0.100  0.700  0.301
N  0.101  0.201  0.801
N  0.200  0.399  0.600
N  0.299  0.599  0.400
N  0.299  0.600  0.900
N  0.301  0.100  0.900
N  0.400  0.799  0.200
N  0.500  0.000  0.000
N  0.500  0.000  0.500
N  0.500  0.500  0.500
N  0.600  0.201  0.800
N  0.699  0.900  0.100
N  0.701  0.400  0.100
N  0.701  0.401  0.600
N  0.800  0.601  0.400
N  0.899  0.799  0.199
N  0.900  0.300  0.699
N  0.901  0.801  0.700

Cs6OsN4: theoretical powder X-ray diffraction pattern (copper Kα), based on a structure optimized by DFT (PBE).
Peak positions follow from Bragg's law for the DFT cell and can differ from measured ones.

Largest 12 diffraction maxima, low angle first, 15 to 90 degrees two-theta:
| two_theta | intensity |
| --- | --- |
| 15.94 | 450 |
| 20.58 | 674 |
| 22.02 | 288 |
| 24.38 | 756 |
| 26.02 | 1000 |
| 30.66 | 313 |
| 33.40 | 354 |
| 37.13 | 428 |
| 41.86 | 407 |
| 44.92 | 293 |
| 49.95 | 231 |
| 60.45 | 193 |

Structure:
Lattice parameters (Å, degrees): 9.686 9.686 11.117 90.00 90.00 90.00
Fractional coordinates of all 22 atoms:
Cs  0.007  0.507  0.250
Cs  0.007  0.993  0.250
Cs  0.250  0.250  0.045
Cs  0.250  0.250  0.545
Cs  0.493  0.507  0.250
Cs  0.493  0.993  0.250
Cs  0.507  0.007  0.750
Cs  0.507  0.493  0.750
Cs  0.750  0.750  0.455
Cs  0.750  0.750  0.955
Cs  0.993  0.007  0.750
Cs  0.993  0.493  0.750
Os  0.250  0.750  0.750
Os  0.750  0.250  0.250
N  0.092  0.750  0.839
N  0.250  0.592  0.661
N  0.250  0.908  0.661
N  0.408  0.750  0.839
N  0.592  0.250  0.161
N  0.750  0.092  0.339
N  0.750  0.408  0.339
N  0.908  0.250  0.161